Simulated X-ray powder pattern
Compound: LaGa2SiPd
Radiation: Cu Kα, 1.54184 Å
Structure: a DFT-relaxed cell (GGA-PBE, Alexandria)

Most intense lines, 10 to 90 degrees two-theta, low angle first:
| 2θ (°) | d [Å] | intensity |
| --- | --- | --- |
| 22.51 | 3.950 | 15 |
| 32.87 | 2.725 | 42 |
| 34.26 | 2.618 | 100 |
| 42.48 | 2.128 | 22 |
| 42.59 | 2.123 | 22 |
| 47.75 | 1.905 | 19 |
| 54.77 | 1.676 | 19 |
| 61.72 | 1.503 | 14 |

Cell and atoms:
a = 6.115 Å, b = 6.115 Å, c = 6.115 Å
α = 139.37°, β = 139.27°, γ = 58.88°
Sites, in units of the cell vectors:
La: 0.000 0.000 0.000
Ga: 0.383 0.383 0.000
Ga: 0.749 0.249 0.500
Si: 0.616 0.616 0.000
Pd: 0.239 0.739 0.500

Simulated X-ray powder pattern
Compound: Sc3SbSe2
Radiation: Cu Kα, 1.54184 Å
Structure: a DFT-relaxed cell (GGA-PBE, Alexandria)

Most intense lines, 10 to 90 degrees two-theta, low angle first:
| 2θ (°) | d [Å] | intensity |
| --- | --- | --- |
| 27.50 | 3.243 | 18 |
| 31.84 | 2.810 | 100 |
| 45.64 | 1.988 | 58 |
| 45.73 | 1.984 | 11 |
| 56.77 | 1.622 | 18 |
| 66.55 | 1.405 | 11 |
| 75.61 | 1.258 | 14 |
| 75.73 | 1.256 | 14 |

Cell and atoms:
a = 6.878 Å, b = 6.878 Å, c = 6.883 Å
α = 99.57°, β = 99.57°, γ = 119.86°
Sites, in units of the cell vectors:
Sc: 0.000 0.500 0.000
Sc: 0.141 0.320 0.495
Sc: 0.320 0.141 0.995
Sc: 0.500 0.000 0.500
Sc: 0.680 0.859 0.005
Sc: 0.859 0.680 0.505
Sb: 0.422 0.578 0.250
Sb: 0.578 0.422 0.750
Se: 0.084 0.916 0.250
Se: 0.255 0.745 0.750
Se: 0.745 0.255 0.250
Se: 0.916 0.084 0.750

Simulated X-ray powder pattern
Compound: NaTe3
Radiation: Cu Kα, 1.54184 Å
Structure: a DFT-relaxed cell (GGA-PBE, Alexandria)

Most intense lines, 10 to 90 degrees two-theta, low angle first:
| 2θ (°) | d [Å] | intensity |
| --- | --- | --- |
| 19.96 | 4.448 | 30 |
| 28.38 | 3.145 | 100 |
| 34.94 | 2.568 | 14 |
| 40.56 | 2.224 | 76 |
| 50.24 | 1.816 | 27 |
| 58.71 | 1.573 | 13 |
| 66.47 | 1.407 | 34 |
| 73.80 | 1.284 | 25 |

Cell and atoms:
a = 5.448 Å, b = 5.448 Å, c = 5.448 Å
α = 109.47°, β = 109.47°, γ = 109.47°
Sites, in units of the cell vectors:
Na: 0.000 0.000 0.000
Te: 0.000 0.500 0.500
Te: 0.500 0.000 0.500
Te: 0.500 0.500 0.000

Simulated X-ray powder pattern
Compound: PCl2OF
Radiation: Cu Kα, 1.54184 Å
Structure: a DFT-relaxed cell (GGA-PBE, Alexandria)

Most intense lines, 10 to 90 degrees two-theta, low angle first:
| 2θ (°) | d [Å] | intensity |
| --- | --- | --- |
| 18.33 | 4.840 | 58 |
| 18.49 | 4.799 | 72 |
| 19.56 | 4.539 | 70 |
| 20.15 | 4.407 | 52 |
| 20.81 | 4.269 | 65 |
| 23.43 | 3.796 | 76 |
| 23.81 | 3.737 | 100 |
| 25.51 | 3.492 | 84 |

Cell and atoms:
a = 10.174 Å, b = 5.722 Å, c = 9.879 Å
α = 90.00°, β = 116.84°, γ = 90.00°
Sites, in units of the cell vectors:
P: 0.230 0.119 0.048
P: 0.230 0.381 0.548
P: 0.770 0.619 0.452
P: 0.770 0.881 0.952
Cl: 0.198 0.597 0.378
Cl: 0.198 0.903 0.878
Cl: 0.418 0.211 0.595
Cl: 0.418 0.289 0.095
Cl: 0.582 0.711 0.905
Cl: 0.582 0.789 0.405
Cl: 0.802 0.097 0.122
Cl: 0.802 0.403 0.622
O: 0.223 0.012 0.179
O: 0.223 0.488 0.679
O: 0.777 0.512 0.321
O: 0.777 0.988 0.821
F: 0.112 0.186 0.468
F: 0.112 0.314 0.968
F: 0.888 0.686 0.032
F: 0.888 0.814 0.532

Simulated X-ray powder pattern
Compound: Re5Rh
Radiation: Cu Kα, 1.54184 Å
Structure: a DFT-relaxed cell (GGA-PBE, Alexandria)

Most intense lines, 10 to 90 degrees two-theta, low angle first:
| 2θ (°) | d [Å] | intensity |
| --- | --- | --- |
| 37.33 | 2.409 | 25 |
| 40.78 | 2.213 | 25 |
| 42.74 | 2.116 | 100 |
| 56.47 | 1.630 | 15 |
| 67.33 | 1.391 | 18 |
| 75.59 | 1.258 | 19 |
| 81.80 | 1.177 | 21 |
| 83.11 | 1.162 | 15 |

Cell and atoms:
a = 4.818 Å, b = 4.818 Å, c = 4.425 Å
α = 90.00°, β = 90.00°, γ = 120.00°
Sites, in units of the cell vectors:
Re: 0.000 0.666 0.000
Re: 0.333 0.667 0.500
Re: 0.334 0.334 0.000
Re: 0.666 0.000 0.000
Re: 0.667 0.333 0.500
Rh: 0.000 0.000 0.500

Please write out number 1 again, unchanged.
Simulated X-ray powder pattern
Compound: LaGa2SiPd
Radiation: Cu Kα, 1.54184 Å
Structure: a DFT-relaxed cell (GGA-PBE, Alexandria)

Most intense lines, 10 to 90 degrees two-theta, low angle first:
| 2θ (°) | d [Å] | intensity |
| --- | --- | --- |
| 22.51 | 3.950 | 15 |
| 32.87 | 2.725 | 42 |
| 34.26 | 2.618 | 100 |
| 42.48 | 2.128 | 22 |
| 42.59 | 2.123 | 22 |
| 47.75 | 1.905 | 19 |
| 54.77 | 1.676 | 19 |
| 61.72 | 1.503 | 14 |

Cell and atoms:
a = 6.115 Å, b = 6.115 Å, c = 6.115 Å
α = 139.37°, β = 139.27°, γ = 58.88°
Sites, in units of the cell vectors:
La: 0.000 0.000 0.000
Ga: 0.383 0.383 0.000
Ga: 0.749 0.249 0.500
Si: 0.616 0.616 0.000
Pd: 0.239 0.739 0.500